NdHoGe4Os2: computed powder X-ray diffraction pattern (a wavelength of 1.5418 Å), based on a structure optimized by DFT (PBE).
Kinematic intensities with the Lorentz-polarization factor, no thermal factor.

The 6 most intense peaks (5 to 70 degrees two-theta), in order of falling intensity:
2θ (°)  I (rel.)  index
10.94  100  0 0 1
32.69  94  1 1 1
28.92  87  1 1 -1
40.60  86  0 2 0
39.08  84  0 1 3
34.54  84  1 0 -3

Structural model:
```
data_NdHoGe4Os2
_cell_length_a 4.4777
_cell_length_b 4.4442
_cell_length_c 8.3483
_cell_angle_alpha 90.00
_cell_angle_beta 104.38
_cell_angle_gamma 90.00
_space_group_name_H-M_alt 'P 1 m 1'
_space_group_IT_number 6
_space_group_name_Hall 'P -2y'
loop_
_atom_site_label
_atom_site_fract_x
_atom_site_fract_y
_atom_site_fract_z
Nd1 0.0000 0.0000 0.0000
Ho1 0.7675 0.5000 0.5831
Ge1 0.0722 0.5000 0.3044
Ge2 0.3461 0.0000 0.7072
Ge3 0.4318 0.5000 0.8824
Ge4 0.7162 0.0000 0.2917
Os1 0.2858 0.0000 0.4138
Os2 0.5036 0.5000 0.1804
```



NdHo2Ge4Pd4: computed powder X-ray diffraction pattern (a wavelength of 1.5418 Å), based on a structure optimized by DFT (PBE).
Kinematic intensities with the Lorentz-polarization factor, no thermal factor.

The 6 most intense peaks (5 to 70 degrees two-theta), in order of falling intensity:
2θ (°)  I (rel.)  index
33.51  100  1 2 1
35.63  87  1 1 4
43.26  40  2 0 0
42.41  35  0 3 3
34.25  29  0 1 5
38.21  28  1 2 3

Structural model:
```
data_NdHo2Ge4Pd4
_cell_length_a 4.1833
_cell_length_b 7.1787
_cell_length_c 14.0597
_cell_angle_alpha 90.00
_cell_angle_beta 90.00
_cell_angle_gamma 90.00
_space_group_name_H-M_alt 'I m m m'
_space_group_IT_number 71
_space_group_name_Hall '-I 2 2'
loop_
_atom_site_label
_atom_site_fract_x
_atom_site_fract_y
_atom_site_fract_z
Nd1 0.0000 0.0000 0.0000
Ho1 0.0000 0.5000 0.1262
Ge1 0.0000 0.0000 0.2193
Ge2 0.0000 0.1845 0.5000
Pd1 0.0000 0.2981 0.3238
```



HoNi2Ge: computed powder X-ray diffraction pattern (a wavelength of 1.5418 Å), based on a structure optimized by DFT (PBE).
Kinematic intensities with the Lorentz-polarization factor, no thermal factor.

The 6 most intense peaks (5 to 70 degrees two-theta), in order of falling intensity:
2θ (°)  I (rel.)  index
43.01  100  1 1 2
37.92  79  1 2 0
31.53  75  1 1 1
36.49  60  0 1 2
34.80  48  0 2 1
44.80  48  2 0 0

Structural model:
```
data_HoNi2Ge
_cell_length_a 4.0457
_cell_length_b 5.8598
_cell_length_c 5.4263
_cell_angle_alpha 90.00
_cell_angle_beta 90.00
_cell_angle_gamma 90.00
_space_group_name_H-M_alt 'P m n 21'
_space_group_IT_number 31
_space_group_name_Hall 'P 2ac -2'
loop_
_atom_site_label
_atom_site_fract_x
_atom_site_fract_y
_atom_site_fract_z
Ho1 0.0000 0.0922 0.0000
Ni1 0.0000 0.2805 0.5060
Ni2 0.0000 0.6431 0.2618
Ge1 0.0000 0.6133 0.7806
```



Ho3NiGe5: computed powder X-ray diffraction pattern (a wavelength of 1.5418 Å), based on a structure optimized by DFT (PBE).
Kinematic intensities with the Lorentz-polarization factor, no thermal factor.

The 6 most intense peaks (5 to 70 degrees two-theta), in order of falling intensity:
2θ (°)  I (rel.)  index
33.56  100  1 1 1
36.71  52  2 0 1
38.85  33  2 1 0
44.30  22  3 0 0
44.59  21  0 0 2
25.15  19  1 1 0

Structural model:
```
data_Ho3NiGe5
_cell_length_a 7.0825
_cell_length_b 7.0825
_cell_length_c 4.0644
_cell_angle_alpha 90.00
_cell_angle_beta 90.00
_cell_angle_gamma 120.00
_space_group_name_H-M_alt 'P -6 2 m'
_space_group_IT_number 189
_space_group_name_Hall 'P -6 -2'
loop_
_atom_site_label
_atom_site_fract_x
_atom_site_fract_y
_atom_site_fract_z
Ho1 0.0000 0.6067 0.0000
Ni1 0.0000 0.0000 0.0000
Ge1 0.0000 0.2318 0.5000
Ge2 0.3333 0.6667 0.5000
```



HoSi2NiGe: computed powder X-ray diffraction pattern (a wavelength of 1.5418 Å), based on a structure optimized by DFT (PBE).
Kinematic intensities with the Lorentz-polarization factor, no thermal factor.

The 6 most intense peaks (5 to 70 degrees two-theta), in order of falling intensity:
2θ (°)  I (rel.)  index
34.22  100  1 3 1
44.81  37  0 0 2
25.93  26  1 3 0
33.68  23  0 6 1
46.15  20  2 0 0
31.02  20  1 5 0

Structural model:
```
data_HoSi2NiGe
_cell_length_a 3.9340
_cell_length_b 21.1869
_cell_length_c 4.0484
_cell_angle_alpha 90.00
_cell_angle_beta 90.00
_cell_angle_gamma 90.00
_space_group_name_H-M_alt 'C m m m'
_space_group_IT_number 65
_space_group_name_Hall '-C 2 2'
loop_
_atom_site_label
_atom_site_fract_x
_atom_site_fract_y
_atom_site_fract_z
Ho1 0.0000 0.1702 0.0000
Si1 0.0000 0.0568 0.5000
Si2 0.0000 0.2819 0.5000
Ni1 0.0000 0.3878 0.5000
Ge1 0.0000 0.4426 0.0000
```